Diffraction record for Na7VO6. The powder diffractogram is computed, not measured: it uses a structure optimized by DFT (PBE+U) and copper Kα.
Peak positions follow from Bragg's law for the DFT cell and can differ from measured ones.

Atomic structure:
```
28
Lattice="-3.044 5.548 6.369 3.044 -5.548 6.369 3.044 5.548 -6.369" Properties=species:S:1:pos:R:3 pbc="T T T"
Na 1.293 0.407 0.000
Na 3.802 2.579 -1.393
Na 0.758 2.969 -1.393
Na 0.000 0.000 3.185
Na 3.802 2.579 1.393
Na 0.758 2.969 1.393
Na 1.293 -0.407 6.369
Na 1.751 5.955 0.000
Na 2.287 2.579 4.976
Na -0.758 2.969 4.976
Na 0.000 0.000 9.554
Na 2.287 2.579 7.763
Na -0.758 2.969 7.763
Na 1.751 5.142 6.369
V 3.044 0.000 3.185
V 0.000 5.548 3.185
O 4.080 -1.037 2.228
O 2.397 -3.786 6.369
O 2.008 -1.037 4.142
O 2.008 1.037 2.228
O 2.397 3.786 0.000
O 4.080 1.037 4.142
O -1.036 4.511 2.228
O 0.648 1.762 6.369
O 1.036 4.511 4.142
O 1.036 6.585 2.228
O 0.648 9.334 0.000
O -1.036 6.585 4.142
```

Largest 8 diffraction maxima, low angle first, 2θ from 10° to 90°:
d_spacing, I (rel.)
4.184, 58
4.091, 77
2.762, 100
2.476, 38
2.462, 50
2.056, 26
1.952, 28
1.924, 34